Record 1
Diffraction record for CsCoO2. The XRD peak list is theoretical, not measured: it uses a structure optimized by DFT (GGA+U) and Cu Kα (λ = 1.5418 Å).

Structure:
Unit cell a=5.978 b=8.528 c=6.098 alpha=90.00 beta=90.14 gamma=90.00
Space group P2 (No. 3)
Inequivalent atoms, fractional coordinates:
Cs: 0.000 0.000 0.000 x1
Cs: 0.000 0.241 0.500 x1
Cs: 0.500 0.494 0.500 x1
Cs: 0.500 0.747 0.000 x1
Co: 0.000 0.494 0.000 x1
Co: 0.000 0.747 0.500 x1
Co: 0.500 0.245 0.000 x1
Co: 0.500 0.997 0.500 x1
O: 0.000 0.620 0.250 x2
O: 0.243 0.361 0.002 x2
O: 0.243 0.879 0.501 x2
O: 0.499 0.121 0.750 x2

Peak list (8 most intense, 10 to 90 degrees two-theta, in order of falling intensity)
d/Å, two_theta, I_rel, hkl
3.017, 29.61, 1000, 1 2 1
3.049, 29.29, 258, 0 0 2
2.989, 29.89, 245, 2 0 0
1.754, 52.14, 197, 1 2 3
1.731, 52.89, 189, 3 2 1
1.508, 61.47, 153, 2 4 2
2.132, 42.40, 128, 2 0 2
1.349, 69.74, 121, 3 2 3

---

Record 2
Diffraction record for Cs6Co2O7. The XRD peak list is theoretical, not measured: it uses a structure optimized by DFT (GGA+U) and Cu Kα (λ = 1.5418 Å).

Structure:
Unit cell a=7.347 b=9.862 c=12.357 alpha=90.00 beta=125.78 gamma=90.00
Space group P2_1/c (No. 14)
Inequivalent atoms, fractional coordinates:
Cs: 0.050 0.143 0.416 x4
Cs: 0.200 0.530 0.449 x4
Cs: 0.411 0.209 0.283 x4
Co: 0.327 0.637 0.872 x4
O: 0.075 0.666 0.862 x4
O: 0.259 0.589 0.712 x4
O: 0.497 0.712 0.427 x4
O: 0.500 0.000 0.500 x2

Peak list (8 most intense, 10 to 90 degrees two-theta, in order of falling intensity)
d/Å, two_theta, I_rel, hkl
3.442, 25.88, 1000, 2 1 -2
3.161, 28.23, 968, 1 2 -3
3.124, 28.58, 961, 0 3 1
3.056, 29.23, 952, 1 0 2
2.895, 30.89, 701, 1 1 -4
3.267, 27.30, 697, 2 1 -1
2.580, 34.77, 665, 1 3 1
3.515, 25.34, 661, 0 2 2